1.
Simulated powder XRD pattern
Compound: Ho3Al2Ni6H8
Radiation: CuKα
Structure: a cell relaxed with PBE

Atomic structure:
```
38
Lattice="-4.559 4.559 4.469 4.559 -4.559 4.469 4.559 4.559 -4.469" Properties=species:S:1:pos:R:3 pbc="T T T"
Ho 0.000 0.000 1.857
Ho 4.559 2.099 0.000
Ho 2.099 4.559 0.000
Ho 2.460 0.000 4.469
Ho 0.000 2.460 4.469
Ho 0.000 0.000 7.081
Al 2.280 2.280 -2.235
Al 2.280 -2.280 2.235
Al -2.280 2.280 2.235
Al 2.280 2.280 2.235
Ni 3.098 0.000 1.395
Ni 6.020 0.000 1.395
Ni 1.583 1.583 0.000
Ni 2.976 -2.976 4.469
Ni 4.559 -1.461 3.074
Ni 0.000 3.098 1.395
Ni 4.559 1.461 3.074
Ni 0.000 6.020 1.395
Ni -2.976 2.976 4.469
Ni 2.976 2.976 4.469
Ni -1.461 4.559 3.074
Ni 1.461 4.559 3.074
H 2.041 0.000 0.000
H 4.559 0.000 0.000
H 7.078 0.000 0.000
H 0.000 2.041 0.000
H 3.467 3.467 -1.171
H 5.651 3.467 -1.171
H 4.559 0.000 2.235
H -1.092 1.092 3.298
H 1.092 1.092 3.298
H 0.000 4.559 0.000
H 3.467 3.467 1.171
H 5.651 3.467 1.171
H 0.000 4.559 2.235
H -1.092 1.092 5.641
H 1.092 1.092 5.641
H 0.000 7.078 0.000
```

Most intense lines, 2θ = 5–70°, by intensity:
d_spacing	two_theta	I (rel.)
2.128	42.49	100.0
2.615	34.30	63.2
2.149	42.05	56.7
2.433	36.94	36.8
2.280	39.53	32.4
1.372	68.37	30.0
2.881	31.04	28.8
2.832	31.59	27.5
3.710	23.99	21.9
3.192	27.96	20.1

=====

2.
Simulated powder XRD pattern
Compound: K3AlH6
Radiation: CuKα
Structure: a cell relaxed with PBE

Atomic structure:
```
20
Lattice="6.015 0.000 0.000 0.000 6.074 0.000 -5.910 0.000 8.570" Properties=species:S:1:pos:R:3 pbc="T T T"
K 0.000 0.000 0.000
K -2.955 3.037 4.285
K -2.890 0.184 6.436
K 0.065 2.853 2.151
K 0.039 3.221 6.420
K 2.994 5.890 2.134
Al 0.052 0.000 4.285
Al 3.007 3.037 0.000
H -0.337 0.135 2.553
H -3.293 2.902 6.838
H 1.577 4.060 0.259
H -1.378 5.051 4.544
H -0.934 1.456 4.610
H 2.021 1.581 0.325
H -1.916 4.493 8.246
H 1.039 4.618 3.960
H 1.483 1.023 4.026
H -1.472 2.014 8.311
H 3.397 3.172 1.732
H 0.442 5.939 6.017
```

Most intense lines, 2θ = 5–70°, by intensity:
d_spacing	two_theta	I (rel.)
3.039	29.39	100.0
3.011	29.67	99.7
2.137	42.29	23.3
1.750	52.28	20.9
1.733	52.82	16.9
1.754	52.14	15.8
2.143	42.18	12.8
1.747	52.36	11.3
1.519	60.98	9.5
1.348	69.77	8.1

=====

3.
Simulated powder XRD pattern
Compound: K3AlH6
Radiation: CuKα
Structure: a cell relaxed with PBE

Atomic structure:
```
40
Lattice="13.086 0.000 0.000 0.000 15.212 0.000 0.000 0.000 3.239" Properties=species:S:1:pos:R:3 pbc="T T T"
K 0.379 3.342 0.000
K 2.623 9.859 0.000
K 3.222 5.823 0.000
K 3.321 13.428 1.619
K 3.920 2.253 1.619
K 6.164 10.948 1.619
K 6.922 4.263 1.619
K 9.166 12.959 1.619
K 9.765 1.783 1.619
K 9.864 9.389 0.000
K 10.463 5.353 0.000
K 12.707 11.869 0.000
Al 0.000 0.000 1.619
Al 0.000 7.606 1.619
Al 6.543 0.000 0.000
Al 6.543 7.606 0.000
H 0.076 6.489 0.000
H 0.766 14.391 0.000
H 1.233 1.101 1.619
H 1.557 11.480 1.619
H 1.668 7.736 1.619
H 2.181 4.186 1.619
H 4.362 11.792 0.000
H 4.875 0.130 0.000
H 4.986 3.874 0.000
H 5.310 8.707 0.000
H 5.777 6.786 1.619
H 6.466 14.095 1.619
H 6.619 1.116 1.619
H 7.309 8.426 1.619
H 7.776 6.504 0.000
H 8.100 11.337 0.000
H 8.210 15.081 0.000
H 8.724 3.420 0.000
H 10.904 11.025 1.619
H 11.418 7.475 1.619
H 11.529 3.731 1.619
H 11.853 14.110 1.619
H 12.320 0.820 0.000
H 13.009 8.722 0.000
```

Most intense lines, 2θ = 5–70°, by intensity:
d_spacing	two_theta	I (rel.)
3.288	27.12	100.0
2.905	30.78	41.1
3.271	27.26	38.7
2.519	35.64	35.2
2.851	31.38	28.5
3.198	27.90	18.0
3.307	26.96	17.8
1.453	64.09	16.4
1.815	50.26	15.6
2.460	36.52	14.5

=====

4.
Simulated powder XRD pattern
Compound: KAlH4
Radiation: CuKα
Structure: a cell relaxed with PBE

Atomic structure:
```
24
Lattice="8.852 0.000 0.000 0.000 5.828 0.000 0.000 0.000 7.370" Properties=species:S:1:pos:R:3 pbc="T T T"
K 1.583 1.457 1.230
K 2.843 4.371 4.915
K 6.009 1.457 2.455
K 7.269 4.371 6.140
Al 0.594 1.457 4.997
Al 3.831 4.371 1.311
Al 5.020 1.457 6.059
Al 8.257 4.371 2.374
H 0.668 0.136 5.962
H 0.668 2.778 5.962
H 0.798 4.371 3.216
H 1.898 1.457 4.013
H 2.528 4.371 0.328
H 3.627 1.457 6.901
H 3.758 3.050 2.277
H 3.758 5.692 2.277
H 5.093 0.136 5.093
H 5.093 2.778 5.093
H 5.224 4.371 0.469
H 6.324 1.457 7.042
H 6.953 4.371 3.357
H 8.053 1.457 4.154
H 8.184 3.050 1.408
H 8.184 5.692 1.408
```

Most intense lines, 2θ = 5–70°, by intensity:
d_spacing	two_theta	I (rel.)
3.525	25.27	100.0
3.180	28.06	83.5
2.938	30.42	56.9
3.402	26.19	53.8
2.914	30.68	50.9
2.213	40.77	33.0
2.119	42.66	29.8
3.685	24.15	29.1
1.714	53.46	25.7
2.547	35.23	25.0

=====

> What is the formula in the first record?

Ho3Al2Ni6H8